(1)
Diffraction record for Pm4Ho4Tm3. The X-ray diffraction stick pattern is theoretical, not measured: it uses a DFT-relaxed cell (PBE, Alexandria) and λ = 1.5418 Å (Cu Kα).

The 10 most intense peaks (5 to 70 degrees two-theta), low angle first:
d [Å], 2θ/deg, intensity
2.885, 31.0, 41
2.824, 31.7, 90
2.814, 31.8, 52
2.795, 32.0, 100
2.015, 45.0, 29
1.959, 46.3, 18
1.627, 56.6, 18
1.621, 56.8, 20
1.609, 57.3, 28
1.487, 62.5, 30

Structural model:
a b c (Å): 18.015 18.015 18.015
angles (deg): 168.81 162.02 21.22
Atoms (fractional coordinates):
Pm1 0.090 0.090 0.000
Pm2 0.268 0.768 0.500
Pm3 0.732 0.232 0.500
Pm4 0.910 0.910 0.000
Ho1 0.180 0.180 0.000
Ho2 0.454 0.954 0.500
Ho3 0.546 0.046 0.500
Ho4 0.820 0.820 0.000
Tm1 0.000 0.500 0.500
Tm2 0.364 0.364 0.000
Tm3 0.636 0.636 0.000

=====

(2)
Diffraction record for PmTmTcO6. The X-ray diffraction stick pattern is theoretical, not measured: it uses a DFT-relaxed cell (PBE, Alexandria) and λ = 1.5418 Å (Cu Kα).

The 10 most intense peaks (5 to 70 degrees two-theta), low angle first:
d [Å], 2θ/deg, intensity
3.550, 25.1, 100
2.788, 32.1, 87
2.510, 35.8, 25
1.866, 48.8, 69
1.775, 51.5, 17
1.677, 54.8, 7
1.587, 58.1, 17
1.516, 61.1, 17
1.497, 62.0, 21
1.394, 67.1, 9

Structural model:
a b c (Å): 5.020 5.020 10.059
angles (deg): 90.00 90.00 90.00
Atoms (fractional coordinates):
Pm1 0.000 0.000 0.000
Pm2 0.500 0.500 0.500
Tm1 0.000 0.000 0.655
Tm2 0.500 0.500 0.155
Tc1 0.000 0.000 0.327
Tc2 0.500 0.500 0.827
O1 0.180 0.180 0.475
O2 0.194 0.194 0.184
O3 0.234 0.234 0.818
O4 0.266 0.734 0.318
O5 0.306 0.694 0.684
O6 0.320 0.680 0.975
O7 0.680 0.320 0.975
O8 0.694 0.306 0.684
O9 0.734 0.266 0.318
O10 0.766 0.766 0.818
O11 0.806 0.806 0.184
O12 0.820 0.820 0.475

=====

(3)
Diffraction record for HSe. The X-ray diffraction stick pattern is theoretical, not measured: it uses a DFT-relaxed cell (PBE, Alexandria) and λ = 1.5418 Å (Cu Kα).

The 10 most intense peaks (5 to 70 degrees two-theta), low angle first:
d [Å], 2θ/deg, intensity
3.937, 22.6, 100
3.791, 23.5, 62
3.167, 28.2, 67
2.468, 36.4, 65
2.334, 38.6, 28
2.244, 40.2, 14
2.086, 43.4, 18
1.805, 50.6, 16
1.793, 50.9, 18
1.671, 54.9, 29

Structural model:
a b c (Å): 5.128 7.874 8.054
angles (deg): 90.00 90.00 90.00
Atoms (fractional coordinates):
H1 0.065 0.017 0.471
H2 0.148 0.686 0.388
H3 0.352 0.314 0.888
H4 0.435 0.983 0.971
H5 0.565 0.483 0.529
H6 0.648 0.814 0.612
H7 0.852 0.186 0.112
H8 0.935 0.517 0.029
Se1 0.104 0.497 0.397
Se2 0.198 0.004 0.863
Se3 0.302 0.996 0.363
Se4 0.396 0.503 0.897
Se5 0.604 0.003 0.603
Se6 0.698 0.496 0.137
Se7 0.802 0.504 0.637
Se8 0.896 0.997 0.103